# 1
# Sm3Al2Sn3
Simulated XRD peak list, CuKα. Input: a crystal structure in Alexandria, relaxed with GGA-PBE.

Main lines, in order of falling intensity (10° ≤ 2θ ≤ 90°):
| two_theta | I_rel | h k l |
| --- | --- | --- |
| 31.25 | 100 | 1 1 4 |
| 35.07 | 42 | 1 3 3 |
| 30.51 | 38 | 1 3 0 |
| 40.47 | 27 | 2 0 0 |
| 38.41 | 15 | 0 4 4 |
| 27.33 | 15 | 0 2 4 |
| 32.29 | 13 | 0 2 5 |
| 30.66 | 12 | 0 4 0 |
| 57.03 | 11 | 2 4 4 |
| 59.19 | 11 | 1 7 0 |

Structure:
a b c (Å): 4.4578 11.6646 15.7533
angles (deg): 90.00 90.00 90.00
Space group Cmcm (No. 63)
One atom of each set of equivalent atoms:
Sm: 0.0000 0.0600 0.1122 (multiplicity 8)
Sm: 0.0000 0.3436 0.2500 (multiplicity 4)
Al: 0.0000 0.2228 0.6158 (multiplicity 8)
Sn: 0.0000 0.3733 0.0382 (multiplicity 8)
Sn: 0.0000 0.3805 0.7500 (multiplicity 4)

=====

# 2
# UTeBrO6
Simulated XRD peak list, CuKα. Input: a crystal structure in Alexandria, relaxed with GGA-PBE.

Main lines, in order of falling intensity (10° ≤ 2θ ≤ 90°):
| two_theta | I_rel | h k l |
| --- | --- | --- |
| 27.54 | 100 | 0 2 2 |
| 14.68 | 80 | 1 0 1 |
| 26.59 | 57 | 1 2 1 |
| 47.52 | 33 | 2 2 4 |
| 28.20 | 32 | 2 1 1 |
| 29.61 | 29 | 2 0 2 |
| 49.28 | 16 | 1 2 5 |
| 56.86 | 16 | 2 0 6 |
| 58.31 | 16 | 4 2 2 |
| 13.68 | 15 | 0 1 1 |

Structure:
a b c (Å): 7.2555 8.0653 10.8609
angles (deg): 90.00 90.00 90.00
Space group Imma (No. 74)
One atom of each set of equivalent atoms:
U: 0.0000 0.0000 0.0000 (multiplicity 4)
Te: 0.2500 0.2500 0.2500 (multiplicity 4)
Br: 0.0000 0.2500 0.6836 (multiplicity 4)
O: 0.0000 0.2500 0.3184 (multiplicity 4)
O: 0.0000 0.2500 0.9427 (multiplicity 4)
O: 0.1918 0.0792 0.1289 (multiplicity 16)

=====

# 3
# K2AcGeO4
Simulated XRD peak list, CuKα. Input: a crystal structure in Alexandria, relaxed with GGA-PBE.

Main lines, in order of falling intensity (10° ≤ 2θ ≤ 90°):
| two_theta | I_rel | h k l |
| --- | --- | --- |
| 27.80 | 100 | 1 1 2 |
| 17.43 | 76 | 1 0 1 |
| 52.31 | 32 | 3 1 2 |
| 30.30 | 31 | 2 0 0 |
| 47.55 | 25 | 2 0 4 |
| 35.17 | 22 | 1 2 1 |
| 43.68 | 17 | 2 1 3 |
| 43.38 | 15 | 2 2 0 |
| 30.70 | 15 | 1 0 3 |
| 57.43 | 12 | 2 2 4 |

Structure:
a b c (Å): 5.8993 5.8993 10.0462
angles (deg): 90.00 90.00 90.00
Space group I-4 (No. 82)
One atom of each set of equivalent atoms:
K: 0.0000 0.0000 0.0000 (multiplicity 2)
K: 0.0000 0.5000 0.2500 (multiplicity 2)
Ac: 0.0000 0.0000 0.5000 (multiplicity 2)
Ge: 0.0000 0.5000 0.7500 (multiplicity 2)
O: 0.1409 0.2890 0.6476 (multiplicity 8)

=====

# 4
# CeAgPb
Simulated XRD peak list, CuKα. Input: a crystal structure in Alexandria, relaxed with GGA-PBE.

Main lines, in order of falling intensity (10° ≤ 2θ ≤ 90°):
| two_theta | I_rel | h k l |
| --- | --- | --- |
| 34.12 | 100 | 1 1 0 |
| 61.06 | 27 | 3 0 0 |
| 49.03 | 16 | 2 0 2 |
| 68.42 | 14 | 1 1 4 |
| 44.53 | 10 | 1 1 2 |
| 23.95 | 8 | 1 0 1 |
| 81.97 | 8 | 3 1 2 |
| 55.30 | 7 | 1 1 3 |
| 71.80 | 7 | 2 2 0 |
| 88.65 | 6 | 3 0 4 |

Structure:
a b c (Å): 5.2588 5.2588 6.4258
angles (deg): 90.00 90.00 120.00
Space group P6/mmm (No. 191)
One atom of each set of equivalent atoms:
Ce: 0.0000 0.0000 0.2111 (multiplicity 2)
Ag: 0.3333 0.6667 0.0000 (multiplicity 2)
Pb: 0.3333 0.6667 0.5000 (multiplicity 2)

=====

# 5
# Sb2Se3
Simulated XRD peak list, CuKα. Input: a crystal structure in Alexandria, relaxed with GGA-PBE.

Main lines, in order of falling intensity (10° ≤ 2θ ≤ 90°):
| two_theta | I_rel | h k l |
| --- | --- | --- |
| 13.95 | 100 | 1 0 2 |
| 36.60 | 92 | 2 1 4 |
| 23.74 | 87 | 0 1 1 |
| 11.96 | 84 | 0 0 2 |
| 25.12 | 78 | 1 0 4 |
| 29.53 | 67 | 4 0 1 |
| 29.31 | 65 | 0 1 3 |
| 33.99 | 65 | 3 1 2 |
| 46.90 | 50 | 0 2 0 |
| 29.77 | 50 | 2 1 2 |

Structure:
a b c (Å): 12.3616 3.8746 14.8000
angles (deg): 90.00 90.00 90.00
Space group Pnma (No. 62)
One atom of each set of equivalent atoms:
Sb: 0.1095 0.2500 0.2476 (multiplicity 4)
Sb: 0.1608 0.7500 0.5989 (multiplicity 4)
Se: 0.0612 0.7500 0.3678 (multiplicity 4)
Se: 0.1832 0.7500 0.7754 (multiplicity 4)
Se: 0.1931 0.7500 0.0673 (multiplicity 4)

=====

# 6
# TiInO
Simulated XRD peak list, CuKα. Input: a crystal structure in Alexandria, relaxed with GGA-PBE.

Main lines, in order of falling intensity (10° ≤ 2θ ≤ 90°):
| two_theta | I_rel | h k l |
| --- | --- | --- |
| 31.12 | 100 | 1 1 1 |
| 39.26 | 91 | 1 1 -3 |
| 42.90 | 73 | 2 0 0 |
| 34.37 | 68 | 1 1 2 |
| 33.23 | 62 | 0 0 4 |
| 55.30 | 39 | 0 2 4 |
| 68.57 | 23 | 1 1 -7 |
| 62.28 | 22 | 2 2 0 |
| 60.11 | 22 | 1 1 6 |
| 76.13 | 19 | 3 1 -3 |

Structure:
a b c (Å): 4.2147 4.2177 10.7835
angles (deg): 90.00 90.12 90.00
Space group C2/m (No. 12)
One atom of each set of equivalent atoms:
Ti: 0.2489 0.0000 0.4075 (multiplicity 4)
In: 0.2477 0.5000 0.8819 (multiplicity 4)
O: 0.2492 0.5000 0.3946 (multiplicity 4)

=====

# 7
# Ac2Nd2Ge2N
Simulated XRD peak list, CuKα. Input: a crystal structure in Alexandria, relaxed with GGA-PBE.

Main lines, in order of falling intensity (10° ≤ 2θ ≤ 90°):
| two_theta | I_rel | h k l |
| --- | --- | --- |
| 27.96 | 100 | 1 1 2 |
| 33.72 | 79 | 1 1 4 |
| 36.78 | 70 | 2 0 0 |
| 24.27 | 46 | 1 0 3 |
| 49.73 | 44 | 2 0 6 |
| 52.98 | 39 | 2 2 0 |
| 32.28 | 37 | 0 0 6 |
| 32.55 | 34 | 1 0 5 |
| 64.30 | 25 | 3 1 4 |
| 60.98 | 23 | 3 1 2 |

Structure:
a b c (Å): 4.8870 4.8870 16.6410
angles (deg): 90.00 90.00 90.00
Space group I4/mmm (No. 139)
One atom of each set of equivalent atoms:
Ac: 0.0000 0.0000 0.1714 (multiplicity 4)
Nd: 0.0000 0.5000 0.0000 (multiplicity 4)
Ge: 0.0000 0.0000 0.3691 (multiplicity 4)
N: 0.0000 0.0000 0.0000 (multiplicity 2)

=====

# 8
# Mn2FeCoP2
Simulated XRD peak list, CuKα. Input: a crystal structure in Alexandria, relaxed with GGA-PBE.

Main lines, in order of falling intensity (10° ≤ 2θ ≤ 90°):
| two_theta | I_rel | h k l |
| --- | --- | --- |
| 40.51 | 100 | 1 2 1 |
| 42.72 | 79 | 1 1 2 |
| 40.40 | 45 | 1 0 2 |
| 52.31 | 42 | 2 0 0 |
| 49.08 | 40 | 0 1 3 |
| 48.59 | 33 | 1 3 0 |
| 43.67 | 30 | 0 3 1 |
| 51.23 | 19 | 1 3 1 |
| 81.04 | 19 | 1 4 3 |
| 74.54 | 16 | 2 1 3 |

Structure:
a b c (Å): 3.4977 6.6574 5.8008
angles (deg): 90.00 90.00 90.00
Space group Pmc2_1 (No. 26)
One atom of each set of equivalent atoms:
Mn: 0.0000 0.0789 0.0000 (multiplicity 2)
Mn: 0.5000 0.4205 0.9428 (multiplicity 2)
Fe: 0.5000 0.1881 0.3268 (multiplicity 2)
Co: 0.0000 0.3161 0.6196 (multiplicity 2)
P: 0.0000 0.3728 0.2392 (multiplicity 2)
P: 0.5000 0.1235 0.7036 (multiplicity 2)

=====

# 9
# NaAsBr4
Simulated XRD peak list, CuKα. Input: a crystal structure in Alexandria, relaxed with GGA-PBE.

Main lines, in order of falling intensity (10° ≤ 2θ ≤ 90°):
| two_theta | I_rel | h k l |
| --- | --- | --- |
| 30.58 | 100 | 3 1 -1 |
| 25.18 | 49 | 1 1 1 |
| 28.99 | 49 | 2 0 2 |
| 13.31 | 48 | 2 0 0 |
| 12.10 | 30 | 0 0 1 |
| 42.76 | 29 | 5 1 1 |
| 42.54 | 28 | 1 1 -3 |
| 21.63 | 20 | 1 1 0 |
| 26.80 | 19 | 4 0 0 |
| 26.63 | 19 | 2 0 -2 |

Structure:
a b c (Å): 13.3732 4.3191 7.3501
angles (deg): 90.00 95.65 90.00
Space group C2 (No. 5)
One atom of each set of equivalent atoms:
Na: 0.0000 0.0000 0.0000 (multiplicity 2)
As: 0.0000 0.4474 0.5000 (multiplicity 2)
Br: 0.1088 0.4969 0.8227 (multiplicity 4)
Br: 0.1200 0.0882 0.3856 (multiplicity 4)

=====

# 10
# AsIO5
Simulated XRD peak list, CuKα. Input: a crystal structure in Alexandria, relaxed with GGA-PBE.

Main lines, in order of falling intensity (10° ≤ 2θ ≤ 90°):
| two_theta | I_rel | h k l |
| --- | --- | --- |
| 23.74 | 100 | 1 1 1 |
| 25.90 | 50 | 2 0 -2 |
| 35.18 | 26 | 1 1 -3 |
| 23.48 | 23 | 0 2 0 |
| 17.41 | 23 | 1 1 -1 |
| 37.94 | 19 | 1 3 -1 |
| 16.91 | 18 | 1 1 0 |
| 35.66 | 16 | 3 1 -1 |
| 26.45 | 13 | 0 2 1 |
| 41.89 | 13 | 2 0 2 |

Structure:
a b c (Å): 8.0648 7.5792 8.1785
angles (deg): 90.00 115.84 90.00
Space group Cc (No. 9)
One atom of each set of equivalent atoms:
As: 0.0000 0.1322 0.0000 (multiplicity 4)
I: 0.2564 0.2479 0.7557 (multiplicity 4)
O: 0.1112 0.2755 0.9175 (multiplicity 4)
O: 0.1593 0.0139 0.1817 (multiplicity 4)
O: 0.3411 0.4875 0.3183 (multiplicity 4)
O: 0.3826 0.2267 0.5780 (multiplicity 4)
O: 0.4517 0.1576 0.9385 (multiplicity 4)

=====

# 11
# NdDy14Er
Simulated XRD peak list, CuKα. Input: a crystal structure in Alexandria, relaxed with GGA-PBE.

Main lines, in order of falling intensity (10° ≤ 2θ ≤ 90°):
| two_theta | I_rel | h k l |
| --- | --- | --- |
| 32.97 | 100 | 2 2 2 |
| 29.99 | 42 | 1 0 4 |
| 31.20 | 34 | 4 0 0 |
| 61.27 | 30 | 4 4 0 |
| 51.29 | 26 | 0 4 0 |
| 37.46 | 23 | 3 0 4 |
| 56.66 | 21 | 6 2 2 |
| 62.34 | 16 | 2 0 8 |
| 84.86 | 14 | 2 4 8 |
| 87.33 | 12 | 8 4 0 |

Structure:
a b c (Å): 11.4654 7.1246 12.3404
angles (deg): 90.00 90.00 90.00
Space group Amm2 (No. 38)
One atom of each set of equivalent atoms:
Nd: 0.0000 0.0000 0.0000 (multiplicity 2)
Dy: 0.0000 0.2502 0.2501 (multiplicity 4)
Dy: 0.2496 0.0000 0.3334 (multiplicity 4)
Dy: 0.2512 0.2504 0.0833 (multiplicity 8)
Dy: 0.2517 0.0000 0.8330 (multiplicity 4)
Dy: 0.5000 0.0000 0.1666 (multiplicity 2)
Dy: 0.5000 0.0000 0.6664 (multiplicity 2)
Dy: 0.5000 0.2497 0.4164 (multiplicity 4)
Er: 0.0000 0.0000 0.5002 (multiplicity 2)